Record 1
Structure and simulated powder XRD pattern of Sr5Al3F19 (a GGA-PBE-relaxed structure; Cu Kα (λ = 1.5418 Å)).
Kinematic intensities with the Lorentz-polarization factor, no thermal factor.

Principal peaks in the range 10° ≤ 2θ ≤ 90°, sorted by position:
Position (°2θ)  intensity
24.57  28
24.88  36
25.58  59
27.59  45
27.87  72
28.51  100
30.34  54
39.86  57
40.66  53
44.25  32
44.58  36
45.74  55

```
Sr5Al3F19
1.0
-7.1570 7.1570 3.6233
7.1570 -7.1570 3.6233
7.1570 7.1570 -3.6233
Sr Al F
10 6 38
direct
0.0541 0.7808 0.8349
0.2192 0.0541 0.2734
0.2500 0.7500 0.5000
0.2520 0.5777 0.8297
0.4223 0.2520 0.6743
0.5777 0.7480 0.3257
0.7480 0.4223 0.1703
0.7500 0.2500 0.5000
0.7808 0.9459 0.7266
0.9459 0.2192 0.1651
0.1766 0.3408 0.5174
0.2528 0.2528 0.0000
0.3408 0.8234 0.1641
0.6592 0.1766 0.8359
0.7472 0.7472 0.0000
0.8234 0.6592 0.4826
0.0000 0.0000 0.0000
0.0764 0.6173 0.6937
0.0793 0.2226 0.6477
0.0816 0.8759 0.6085
0.1111 0.4515 0.5626
0.1228 0.2876 0.9286
0.1241 0.7326 0.2057
0.1942 0.1228 0.8352
0.2226 0.5749 0.1433
0.2333 0.7566 0.9898
0.2434 0.2333 0.4767
0.2674 0.4731 0.3915
0.2876 0.3591 0.1648
0.3591 0.1942 0.0714
0.3827 0.0764 0.4592
0.4251 0.5684 0.6477
0.4316 0.0793 0.8567
0.4515 0.8889 0.3405
0.4731 0.0816 0.2057
0.5000 0.5000 0.0000
0.5269 0.9184 0.7943
0.5485 0.1111 0.6595
0.5684 0.9207 0.1433
0.5749 0.4316 0.3523
0.6173 0.9236 0.5408
0.6409 0.8058 0.9286
0.7124 0.6409 0.8352
0.7326 0.5269 0.6085
0.7566 0.7667 0.5233
0.7667 0.2434 0.0102
0.7774 0.4251 0.8567
0.8058 0.8772 0.1648
0.8759 0.2674 0.7943
0.8772 0.7124 0.0714
0.8889 0.5485 0.4374
0.9184 0.1241 0.3915
0.9207 0.7774 0.3523
0.9236 0.3827 0.3063
```


Record 2
Structure and simulated powder XRD pattern of Ti3AlF15 (a GGA-PBE-relaxed structure; Cu Kα (λ = 1.5418 Å)).
Kinematic intensities with the Lorentz-polarization factor, no thermal factor.

Principal peaks in the range 10° ≤ 2θ ≤ 90°, sorted by position:
Position (°2θ)  intensity
15.06  100
17.88  25
18.19  26
21.80  19
23.45  91
28.71  10
29.42  15
29.65  14
40.48  9
41.06  8
47.98  15
59.03  10

```
Ti3AlF15
1.0
6.0651 0.0000 0.0000
0.0000 9.9238 0.0000
-2.2802 0.0000 9.1080
Ti Al F
6 2 30
direct
0.0000 0.0000 0.0000
0.0000 0.5000 0.0000
0.0272 0.0557 0.6681
0.0272 0.4443 0.6681
0.9728 0.5557 0.3319
0.9728 0.9443 0.3319
0.4355 0.7500 0.7323
0.5645 0.2500 0.2677
0.0935 0.0780 0.1984
0.0935 0.4220 0.1984
0.1221 0.2500 0.6661
0.1271 0.0813 0.4883
0.1271 0.4187 0.4883
0.1566 0.1049 0.8737
0.1566 0.3951 0.8737
0.2443 0.6089 0.0470
0.2443 0.8911 0.0470
0.2488 0.6190 0.3648
0.2488 0.8810 0.3648
0.2678 0.6010 0.7066
0.2678 0.8990 0.7066
0.4056 0.2500 0.0971
0.4335 0.2500 0.4035
0.5665 0.7500 0.5965
0.5944 0.7500 0.9029
0.7322 0.1010 0.2934
0.7322 0.3990 0.2934
0.7512 0.1190 0.6352
0.7512 0.3810 0.6352
0.7557 0.1089 0.9530
0.7557 0.3911 0.9530
0.8434 0.6049 0.1263
0.8434 0.8951 0.1263
0.8729 0.5813 0.5117
0.8729 0.9187 0.5117
0.8779 0.7500 0.3339
0.9065 0.5780 0.8016
0.9065 0.9220 0.8016
```


Record 3
Structure and simulated powder XRD pattern of TiAlF5 (a GGA-PBE-relaxed structure; Cu Kα (λ = 1.5418 Å)).
Kinematic intensities with the Lorentz-polarization factor, no thermal factor.

Principal peaks in the range 10° ≤ 2θ ≤ 90°, sorted by position:
Position (°2θ)  intensity
23.08  100
28.12  65
28.34  89
39.50  46
47.16  38
49.90  34
50.31  32
52.30  26
55.94  21
58.14  15
71.10  19
71.43  17

```
TiAlF5
1.0
-1.8135 3.1734 3.8541
1.8135 -3.1734 3.8541
1.8135 3.1734 -3.8541
Ti Al F
1 1 5
direct
0.0000 0.0000 0.0000
0.5000 0.5000 0.0000
0.2074 0.5000 0.7074
0.2673 0.2673 0.0000
0.5000 0.0000 0.5000
0.7327 0.7327 0.0000
0.7926 0.5000 0.2926
```


Record 4
Structure and simulated powder XRD pattern of AlTl2F5 (a GGA-PBE-relaxed structure; Cu Kα (λ = 1.5418 Å)).
Kinematic intensities with the Lorentz-polarization factor, no thermal factor.

Principal peaks in the range 10° ≤ 2θ ≤ 90°, sorted by position:
Position (°2θ)  intensity
18.48  74
20.70  81
21.96  57
23.67  53
27.89  69
30.19  78
30.36  49
31.64  81
36.89  100
39.40  42
44.91  43
59.02  33

```
AlTl2F5
1.0
4.2908 -4.8018 0.0000
4.2908 4.8018 0.0000
0.0000 0.0000 7.5179
Al Tl F
2 4 10
direct
0.0000 0.0000 0.0000
0.0000 0.0000 0.5000
0.0652 0.4769 0.7500
0.4769 0.0652 0.2500
0.5231 0.9348 0.7500
0.9348 0.5231 0.2500
0.0307 0.9693 0.7500
0.1869 0.8131 0.0379
0.1869 0.8131 0.4621
0.2116 0.2116 0.0000
0.2116 0.2116 0.5000
0.7884 0.7884 0.0000
0.7884 0.7884 0.5000
0.8131 0.1869 0.5379
0.8131 0.1869 0.9621
0.9693 0.0307 0.2500
```